Diffraction record for RbNpGeCl6. The X-ray powder pattern is computed, not measured: it uses a crystal structure in Alexandria, relaxed with PBE and Cu Kα (weighted mean of Kα1 and Kα2).
Neutral-atom scattering factors, no anomalous dispersion.

Structural model:
Cell lengths 9.777, 10.106, 14.175 Å; angles 90.00, 90.00, 90.00 degrees
Space group Imma (No. 74)
Inequivalent atoms, fractional coordinates:
Rb1 0.000 0.250 0.032 [4 per cell]
Np1 0.000 0.000 0.500 [4 per cell]
Ge1 0.250 0.250 0.750 [4 per cell]
Cl1 0.000 0.250 0.423 [4 per cell]
Cl2 0.000 0.250 0.808 [4 per cell]
Cl3 0.214 0.059 0.617 [16 per cell]

The 6 most intense peaks (2θ = 10–90°), low angle first:
d (Å), 2θ (°), intensity, hkl
8.048, 10.99, 68, 1 0 1
7.087, 12.49, 42, 0 0 2
4.280, 20.76, 100, 1 2 1
4.024, 22.09, 53, 2 0 2
3.254, 27.41, 29, 1 2 3
2.140, 42.24, 30, 2 4 2